The following is a calculated PXRD pattern of Tb5Dy2Sb5. It was derived from DFT lattice parameters and positions (GGA-PBE), using Cu Kα (weighted mean of Kα1 and Kα2).
Intensities are scaled so that the largest is 100.

Principal peaks in the range 2θ = 10–80°, most intense first:
28.56°, I 100
29.04°, I 88
32.11°, I 77
29.79°, I 72
41.45°, I 66
31.28°, I 60

Cell: 7.4495 7.4495 12.6006 Å, 108.66 108.66 34.00°
Atoms (fractional coordinates):
Tb1 0.0000 0.0000 0.0000
Tb2 0.1598 0.1598 0.5362
Tb3 0.2226 0.2226 0.8440
Tb4 0.7774 0.7774 0.1560
Tb5 0.8402 0.8402 0.4638
Dy1 0.4553 0.4553 0.7141
Dy2 0.5447 0.5447 0.2859
Sb1 0.1959 0.1959 0.2914
Sb2 0.3812 0.3812 0.0685
Sb3 0.5000 0.5000 0.5000
Sb4 0.6188 0.6188 0.9315
Sb5 0.8041 0.8041 0.7086



The following is a calculated PXRD pattern of Ce4ErP5. It was derived from DFT lattice parameters and positions (GGA-PBE), using Cu Kα (weighted mean of Kα1 and Kα2).
Intensities are scaled so that the largest is 100.

Principal peaks in the range 2θ = 10–80°, most intense first:
31.10°, I 100
26.85°, I 80
44.56°, I 73
52.80°, I 39
73.67°, I 33
55.34°, I 25

Cell: 7.0427 7.0427 7.0427 Å, 99.60 99.60 131.78°
Atoms (fractional coordinates):
Ce1 0.0991 0.2995 0.3986
Ce2 0.2995 0.9009 0.2005
Ce3 0.7005 0.0991 0.7995
Ce4 0.9009 0.7005 0.6014
Er1 0.5000 0.5000 0.0000
P1 0.0000 0.0000 0.0000
P2 0.2032 0.5994 0.8026
P3 0.4006 0.2032 0.6039
P4 0.5994 0.7968 0.3961
P5 0.7968 0.4006 0.1974



The following is a calculated PXRD pattern of U4GeP4. It was derived from DFT lattice parameters and positions (GGA-PBE), using Cu Kα (weighted mean of Kα1 and Kα2).
Intensities are scaled so that the largest is 100.

Principal peaks in the range 2θ = 10–80°, most intense first:
28.30°, I 100
32.28°, I 67
46.24°, I 57
20.25°, I 53
22.06°, I 52
45.97°, I 42

Cell: 8.7708 8.7708 5.3022 Å, 90.00 90.00 90.00°
Atoms (fractional coordinates):
U1 0.0497 0.5997 0.1582
U2 0.0997 0.9503 0.6582
U3 0.4003 0.5497 0.6582
U4 0.4503 0.9003 0.1582
U5 0.5497 0.0997 0.8418
U6 0.5997 0.4503 0.3418
U7 0.9003 0.0497 0.3418
U8 0.9503 0.4003 0.8418
Ge1 0.2500 0.2500 0.7500
Ge2 0.7500 0.7500 0.2500
P1 0.0970 0.6429 0.6561
P2 0.1429 0.9030 0.1561
P3 0.3571 0.5970 0.1561
P4 0.4030 0.8571 0.6561
P5 0.5970 0.1429 0.3439
P6 0.6429 0.4030 0.8439
P7 0.8571 0.0970 0.8439
P8 0.9030 0.3571 0.3439



> Which formula does entry 1 have?

Tb5Dy2Sb5